This entry pairs a crystal structure of PmMn2RuO6 with its computed powder diffractogram. Radiation: CuKα. Structure: a cell relaxed with PBE+U.
No peak broadening, texture or thermal motion is included.

Largest 6 diffraction maxima, in order of falling intensity, 10 to 90 degrees two-theta:
d/Å  2θ (°)  I_rel
2.896  30.88  100
2.733  32.77  88
3.975  22.37  63
1.820  50.11  41
1.988  45.64  38
1.607  57.32  37

```
PmMn2RuO6
1.0
2.7329 1.5779 4.8811
-2.7329 1.5779 4.8811
0.0000 -3.1557 4.8811
Pm Mn Ru O
1 2 1 6
Cartesian
0.0000 0.0000 0.0000
0.0000 0.0000 4.0098
0.0000 0.0000 11.5126
0.0000 0.0000 7.0496
-1.5220 -0.1352 5.7277
-0.9513 -1.4695 8.0272
0.8781 -1.2504 5.7277
-0.7970 1.5586 8.0272
0.6439 1.3857 5.7277
1.7483 -0.0891 8.0272
```